Starting from DFT lattice parameters and positions (PBE+U), the PXRD pattern of Li2CoSbO4 was simulated for Cu Kα.
Neutral-atom scattering factors, no anomalous dispersion.

Atomic structure:
a b c (Å): 4.289 4.293 5.481
angles (deg): 112.98 112.93 90.02
Sites, in units of the cell vectors:
1 Li 0.000 0.000 0.000
2 Li 0.231 0.732 0.463
3 Co 0.729 0.228 0.457
4 Sb 0.476 0.478 0.954
5 O 0.243 0.240 0.482
6 O 0.485 0.987 0.973
7 O 0.710 0.707 0.414
8 O 0.967 0.469 0.936

Largest 10 diffraction maxima, by intensity, 2θ = 10–80°:
| 2θ/deg | Rel. int. | (hkl) |
| --- | --- | --- |
| 22.9 | 100 | 0 1 -1 |
| 42.1 | 36 | 2 0 -1 |
| 35.5 | 29 | 1 1 -2 |
| 48.5 | 26 | 2 -1 0 |
| 36.2 | 24 | 1 0 1 |
| 39.4 | 21 | 0 0 2 |
| 59.0 | 18 | 2 0 1 |
| 54.6 | 11 | 0 1 -3 |
| 61.1 | 11 | 2 2 -2 |
| 56.7 | 10 | 1 -2 2 |